(1)
# Ba2UCrTe7
Computed powder diffraction line list, Cu Kα. Input: a structure optimized by DFT (GGA-PBE).
Neutral-atom scattering factors, no anomalous dispersion.

Peak list (6 most intense, 2θ = 10–80°, most intense first)
two_theta	d/Å	Rel. int.
28.6	3.123	1000
35.2	2.548	745
29.2	3.054	724
33.5	2.673	568
20.1	4.424	557
37.2	2.418	529

Structure:
Cell: 12.6665 6.2058 18.8842 Å, 90.00 90.00 90.00°
Atoms (fractional coordinates):
Ba (0.0543, 0.2500, 0.2229)
Ba (0.1769, 0.2500, 0.5581)
Ba (0.3231, 0.7500, 0.0581)
Ba (0.4457, 0.7500, 0.7229)
Ba (0.5543, 0.2500, 0.2771)
Ba (0.6769, 0.2500, 0.9419)
Ba (0.8231, 0.7500, 0.4419)
Ba (0.9457, 0.7500, 0.7771)
U (0.2051, 0.2500, 0.8776)
U (0.2949, 0.7500, 0.3776)
U (0.7051, 0.2500, 0.6224)
U (0.7949, 0.7500, 0.1224)
Cr (0.0000, 0.0000, 0.0000)
Cr (0.0000, 0.5000, 0.0000)
Cr (0.5000, 0.0000, 0.5000)
Cr (0.5000, 0.5000, 0.5000)
Te (0.0409, 0.7500, 0.1196)
Te (0.0802, 0.5024, 0.3981)
Te (0.0802, 0.9976, 0.3981)
Te (0.1395, 0.7500, 0.9157)
Te (0.1734, 0.2500, 0.0409)
Te (0.1920, 0.0029, 0.7325)
Te (0.1920, 0.4971, 0.7325)
Te (0.3080, 0.5029, 0.2325)
Te (0.3080, 0.9971, 0.2325)
Te (0.3266, 0.7500, 0.5409)
Te (0.3605, 0.2500, 0.4157)
Te (0.4198, 0.0024, 0.8981)
Te (0.4198, 0.4976, 0.8981)
Te (0.4591, 0.2500, 0.6196)
Te (0.5409, 0.7500, 0.3804)
Te (0.5802, 0.5024, 0.1019)
Te (0.5802, 0.9976, 0.1019)
Te (0.6395, 0.7500, 0.5843)
Te (0.6734, 0.2500, 0.4591)
Te (0.6920, 0.0029, 0.7675)
Te (0.6920, 0.4971, 0.7675)
Te (0.8080, 0.5029, 0.2675)
Te (0.8080, 0.9971, 0.2675)
Te (0.8266, 0.7500, 0.9591)
Te (0.8605, 0.2500, 0.0843)
Te (0.9198, 0.0024, 0.6019)
Te (0.9198, 0.4976, 0.6019)
Te (0.9591, 0.2500, 0.8804)


(2)
# CsBa3
Computed powder diffraction line list, Cu Kα. Input: a structure optimized by DFT (GGA-PBE).
Neutral-atom scattering factors, no anomalous dispersion.

Peak list (6 most intense, 2θ = 10–80°, most intense first)
two_theta	d/Å	Rel. int.
23.3	3.813	1000
27.0	3.302	522
45.6	1.991	495
38.6	2.335	400
61.2	1.515	206
62.9	1.477	189

Structure:
Cell: 6.6044 6.6044 6.6044 Å, 90.00 90.00 90.00°
Atoms (fractional coordinates):
Cs (0.0000, 0.0000, 0.0000)
Ba (0.0000, 0.5000, 0.5000)
Ba (0.5000, 0.0000, 0.5000)
Ba (0.5000, 0.5000, 0.0000)


(3)
# CsBa3
Computed powder diffraction line list, Cu Kα. Input: a structure optimized by DFT (GGA-PBE).
Neutral-atom scattering factors, no anomalous dispersion.

Peak list (6 most intense, 2θ = 10–80°, most intense first)
two_theta	d/Å	Rel. int.
23.4	3.806	1000
27.5	3.246	334
46.2	1.966	318
38.3	2.349	273
26.2	3.402	189
44.6	2.033	177

Structure:
Cell: 8.2076 8.2076 8.2076 Å, 133.40 133.40 68.03°
Atoms (fractional coordinates):
Cs (0.0000, 0.0000, 0.0000)
Ba (0.2500, 0.7500, 0.5000)
Ba (0.5000, 0.5000, 0.0000)
Ba (0.7500, 0.2500, 0.5000)


(4)
# CsBa3
Computed powder diffraction line list, Cu Kα. Input: a structure optimized by DFT (GGA-PBE).
Neutral-atom scattering factors, no anomalous dispersion.

Peak list (6 most intense, 2θ = 10–80°, most intense first)
two_theta	d/Å	Rel. int.
24.1	3.692	1000
42.4	2.132	440
67.1	1.395	227
34.4	2.611	200
55.7	1.651	197
49.4	1.846	141

Structure:
Cell: 7.3840 7.3840 7.3840 Å, 60.00 60.00 60.00°
Atoms (fractional coordinates):
Cs (0.0000, 0.0000, 0.0000)
Ba (0.2500, 0.2500, 0.2500)
Ba (0.5000, 0.5000, 0.5000)
Ba (0.7500, 0.7500, 0.7500)